KFe2P3O8F6: calculated powder XRD pattern (Cu Kα (weighted mean of Kα1 and Kα2)), based on a cell relaxed with GGA+U.
Intensities are scaled so that the largest is 1000.

Structural model:
```
KFe2P3O8F6
1.0
7.481 0.000 0.000
-0.102 7.636 0.000
-3.636 -2.070 9.718
K Fe P O F
2 4 6 16 12
Direct
0.233 0.431 0.191
0.767 0.569 0.809
0.000 0.500 0.500
0.340 0.180 0.667
0.500 0.000 0.000
0.660 0.820 0.333
0.063 0.077 0.834
0.302 0.589 0.821
0.344 0.766 0.486
0.656 0.234 0.514
0.698 0.411 0.179
0.937 0.923 0.166
0.106 0.130 0.720
0.138 0.624 0.699
0.189 0.613 0.438
0.214 0.025 0.953
0.288 0.945 0.542
0.401 0.420 0.797
0.427 0.764 0.372
0.450 0.747 0.898
0.550 0.253 0.102
0.573 0.236 0.628
0.599 0.580 0.203
0.712 0.055 0.458
0.786 0.975 0.047
0.811 0.387 0.562
0.862 0.376 0.301
0.894 0.870 0.280
0.038 0.767 0.102
0.108 0.071 0.224
0.165 0.295 0.525
0.199 0.557 0.928
0.488 0.284 0.389
0.492 0.077 0.830
0.508 0.923 0.170
0.512 0.716 0.611
0.801 0.443 0.072
0.835 0.705 0.475
0.892 0.929 0.776
0.962 0.233 0.898
```

Top 8 peaks for 2θ from 10° to 90°, in order of falling intensity:
| 2θ/deg | intensity |
| --- | --- |
| 27.56 | 1000 |
| 27.31 | 829 |
| 26.24 | 814 |
| 12.71 | 531 |
| 26.53 | 472 |
| 33.93 | 370 |
| 16.41 | 368 |
| 26.07 | 314 |